For Pm3MgPt3, a PBE-relaxed structure gives the computed XRD peak list in this record (Cu Kα).
Peak positions follow from Bragg's law for the DFT cell and can differ from measured ones.

Most intense lines, 2θ = 15–90°, in order of falling intensity:
d/Å  two_theta  Rel. int.
2.455  36.61  100
2.925  30.56  50
2.515  35.70  44
2.543  35.30  42
2.894  30.90  33
2.187  41.28  28
2.422  37.11  25
1.664  55.19  24
2.788  32.11  24
5.085  17.44  22

Structural model:
Lattice parameters (Å, degrees): 7.026 7.026 7.041 91.33 91.33 92.74
Sites, in units of the cell vectors:
Pm1 0.183 0.817 0.000
Pm2 0.260 0.740 0.500
Pm3 0.314 0.314 0.938
Pm4 0.686 0.686 0.062
Pm5 0.740 0.260 0.500
Pm6 0.817 0.183 0.000
Mg1 0.224 0.224 0.398
Mg2 0.776 0.776 0.602
Pt1 0.030 0.491 0.222
Pt2 0.062 0.062 0.696
Pt3 0.491 0.030 0.222
Pt4 0.509 0.970 0.778
Pt5 0.938 0.938 0.304
Pt6 0.970 0.509 0.778